Structure and theoretical XRD peak list of Cr2B2Ir (the GGA-PBE geometry in Alexandria; Cu Kα).

Principal peaks in the range 2θ from 15° to 90°, sorted by position:
| Position (°2θ) | I (rel.) |
| --- | --- |
| 15.56 | 46 |
| 22.74 | 30 |
| 33.21 | 29 |
| 38.66 | 29 |
| 42.40 | 25 |
| 44.52 | 100 |

Crystal structure
Unit cell a=7.194 b=9.316 c=2.910 alpha=90.00 beta=90.00 gamma=90.00
Positions (direct):
Cr  0.063  0.140  0.000
Cr  0.190  0.361  0.500
Cr  0.310  0.861  0.000
Cr  0.437  0.640  0.500
Cr  0.563  0.360  0.500
Cr  0.690  0.139  0.000
Cr  0.810  0.639  0.500
Cr  0.937  0.860  0.000
B  0.117  0.963  0.500
B  0.125  0.772  0.500
B  0.375  0.272  0.000
B  0.383  0.463  0.000
B  0.617  0.537  0.000
B  0.625  0.728  0.000
B  0.875  0.228  0.500
B  0.883  0.037  0.500
Ir  0.126  0.605  0.000
Ir  0.374  0.105  0.500
Ir  0.626  0.895  0.500
Ir  0.874  0.395  0.000